For Sc2CoSi2, a GGA-PBE-relaxed structure gives the simulated powder X-ray diffraction pattern in this record (Cu Kα).

The 12 most intense peaks (10° ≤ 2θ ≤ 90°), sorted by position:
2θ = 10.70°, I 54
2θ = 17.99°, I 25
2θ = 29.48°, I 24
2θ = 35.74°, I 28
2θ = 36.20°, I 100
2θ = 36.91°, I 23
2θ = 39.78°, I 63
2θ = 43.65°, I 19
2θ = 43.79°, I 30
2θ = 44.30°, I 62
2θ = 45.90°, I 48
2θ = 71.01°, I 19

```
Sc2CoSi2
1.0
4.9353 -1.9770 0.0000
4.9353 1.9770 0.0000
-4.5382 0.0000 8.2688
Sc Co Si
4 2 4
Direct
0.9997 0.9997 0.1718
0.0003 0.0003 0.8282
0.1840 0.1840 0.6054
0.8160 0.8160 0.3946
0.2745 0.2745 0.1256
0.7255 0.7255 0.8744
0.3550 0.3550 0.9308
0.4877 0.4877 0.6250
0.5123 0.5123 0.3750
0.6450 0.6450 0.0692
```